Entry 1:
# BaLi5
Computed powder X-ray diffraction pattern, a wavelength of 1.5418 Å. Input: the PBE geometry in Alexandria.
Lines closer than 0.1° are merged.

Atomic structure:
Cell lengths 5.5066, 5.5066, 8.4904 Å; angles 104.02, 104.02, 43.24 degrees
Fractional positions:
1 Ba 0.0000 0.0000 0.0000
2 Li 0.9999 0.9999 0.5006
3 Li 0.3303 0.3303 0.6204
4 Li 0.3442 0.3442 0.2702
5 Li 0.6560 0.6560 0.7300
6 Li 0.6692 0.6692 0.3796

Peak list (10 most intense, 15 to 90 degrees two-theta, in order of falling intensity)
d/Å  Position (°2θ)  intensity
3.754  23.7  100
4.942  17.9  98
3.548  25.1  97
4.825  18.4  93
2.558  35.1  76
3.292  27.1  75
2.916  30.7  73
4.099  21.7  63
3.816  23.3  59
3.658  24.3  53



Entry 2:
# Ba5Li3
Computed powder X-ray diffraction pattern, a wavelength of 1.5418 Å. Input: the PBE geometry in Alexandria.
Lines closer than 0.1° are merged.

Atomic structure:
Cell lengths 4.4338, 4.4338, 19.5244 Å; angles 90.00, 90.00, 90.00 degrees
Fractional positions:
1 Ba 0.0000 0.0000 0.0000
2 Ba 0.0000 0.0000 0.2197
3 Ba 0.0000 0.0000 0.7803
4 Ba 0.5000 0.5000 0.3915
5 Ba 0.5000 0.5000 0.6085
6 Li 0.0000 0.0000 0.5000
7 Li 0.5000 0.5000 0.1114
8 Li 0.5000 0.5000 0.8886

Peak list (10 most intense, 15 to 90 degrees two-theta, in order of falling intensity)
d/Å  Position (°2θ)  intensity
3.282  27.2  100
4.324  20.5  82
3.135  28.5  60
2.444  36.8  50
3.905  22.8  40
1.837  49.6  37
1.949  46.6  31
1.927  47.2  30
1.464  63.6  27
2.217  40.7  23